For U2Fe3Si5, a cell relaxed with PBE gives the calculated X-ray diffraction stick pattern in this record (copper Kα).
Intensities are scaled so that the largest is 100.

Cell and atoms:
Lattice parameters (Å, degrees): 10.9230 11.3880 5.4743 90.00 119.62 90.00
Space group C2/c (No. 15)
Inequivalent atoms, fractional coordinates:
U: 0.2300 0.1392 0.2253
Fe: 0.0000 0.5000 0.2500
Fe: 0.1043 0.1440 0.6417
Si: 0.0000 0.0134 0.2500
Si: 0.0000 0.2762 0.2500
Si: 0.0000 0.2928 0.7500
Si: 0.1631 0.4038 0.1680

Peak list (10 most intense, 2θ = 5–70°, low angle first)
| 2θ (°) | intensity |
| --- | --- |
| 18.69 | 62.8 |
| 24.38 | 91.4 |
| 24.48 | 97.7 |
| 31.42 | 47.1 |
| 32.72 | 46.2 |
| 36.28 | 77.9 |
| 36.49 | 98.9 |
| 36.81 | 100.0 |
| 37.84 | 79.9 |
| 46.00 | 81.7 |